# 1
Structure and computed powder diffraction line list of CuHgSO4 (DFT lattice parameters and positions (PBE); Cu Kα (λ = 1.5418 Å)).
Peak positions follow from Bragg's law for the DFT cell and can differ from measured ones.

The 10 most intense peaks (10 to 80 degrees two-theta), in order of falling intensity:
Position (°2θ)	I_rel	index
20.30	100	1 1 0
28.86	92	2 0 0
38.91	79	1 1 2
21.72	68	1 0 1
36.41	56	2 1 1
58.01	55	1 3 2
46.41	39	1 3 0
44.27	37	2 0 2
41.27	30	2 2 0
32.84	26	0 0 2

Cell and atoms:
```
data_CuHgSO4
_chemical_formula_sum 'Cu2 Hg2 S2 O8'
_cell_length_a 6.188
_cell_length_b 6.188
_cell_length_c 5.454
_cell_angle_alpha 90.00
_cell_angle_beta 90.00
_cell_angle_gamma 90.00
_space_group_name_H-M_alt 'I -4'
_space_group_IT_number 82
_space_group_name_Hall 'I -4'
loop_
_atom_site_label
_atom_site_type_symbol
_atom_site_fract_x
_atom_site_fract_y
_atom_site_fract_z
_atom_site_occupancy
Cu1 Cu 0.000 0.000 0.000 1
Hg1 Hg 0.000 0.000 0.500 1
S1 S 0.000 0.500 0.750 1
O1 O 0.076 0.318 0.910 1
```

# 2
Structure and computed powder diffraction line list of Cu4HgTe3O12 (DFT lattice parameters and positions (PBE); Cu Kα (λ = 1.5418 Å)).
Peak positions follow from Bragg's law for the DFT cell and can differ from measured ones.

The 10 most intense peaks (10 to 80 degrees two-theta), in order of falling intensity:
Position (°2θ)	I_rel	index
29.92	100	2 0 2
21.76	59	0 2 1
27.61	58	3 0 0
27.03	41	2 1 1
35.43	35	1 3 1
39.08	33	1 1 3
47.39	32	2 3 2
53.05	30	5 0 2
59.56	25	5 2 0
48.53	21	2 2 3

Cell and atoms:
```
data_Cu4HgTe3O12
_chemical_formula_sum 'Cu12 Hg3 Te9 O36'
_cell_length_a 11.1932
_cell_length_b 11.1932
_cell_length_c 7.5836
_cell_angle_alpha 90.00
_cell_angle_beta 90.00
_cell_angle_gamma 120.00
_space_group_name_H-M_alt 'R 3 2'
_space_group_IT_number 155
_space_group_name_Hall 'R 3 2"'
loop_
_atom_site_label
_atom_site_type_symbol
_atom_site_fract_x
_atom_site_fract_y
_atom_site_fract_z
_atom_site_occupancy
Cu1 Cu 0.0000 0.0000 0.0000 1
Cu2 Cu 0.0000 0.3831 0.0000 1
Hg1 Hg 0.0000 0.0000 0.5000 1
Te1 Te 0.0000 0.5698 0.5000 1
O1 O 0.0000 0.5997 0.0000 1
O2 O 0.0000 0.8275 0.0000 1
O3 O 0.0654 0.2131 0.7061 1
```